# 1
For Ac2La3Y, a structure optimized by DFT (GGA-PBE) gives the simulated XRD peak list in this record (Cu Kα).
Neutral-atom scattering factors, no anomalous dispersion.

Main lines, low angle first (2θ = 15–90°):
| two_theta | Rel. int. |
| --- | --- |
| 29.53 | 61 |
| 29.76 | 100 |
| 38.59 | 16 |
| 42.54 | 18 |
| 52.61 | 22 |
| 58.93 | 18 |

Cell lengths 7.3296, 10.4997, 6.0124 Å; angles 90.00, 90.00, 90.00 degrees
Fractional positions:
1 Ac 0.2482 0.1672 0.0000
2 Ac 0.2518 0.6672 0.5000
3 Ac 0.7482 0.3328 0.5000
4 Ac 0.7518 0.8328 0.0000
5 La 0.0000 0.5000 0.0000
6 La 0.2489 0.8342 0.0000
7 La 0.2511 0.3342 0.5000
8 La 0.5000 0.0000 0.5000
9 La 0.7489 0.6658 0.5000
10 La 0.7511 0.1658 0.0000
11 Y 0.0000 0.0000 0.5000
12 Y 0.5000 0.5000 0.0000

# 2
For Ac2La2Y, a structure optimized by DFT (GGA-PBE) gives the simulated XRD peak list in this record (Cu Kα).
Neutral-atom scattering factors, no anomalous dispersion.

Main lines, low angle first (2θ = 15–90°):
| two_theta | Rel. int. |
| --- | --- |
| 28.82 | 90 |
| 29.21 | 100 |
| 30.97 | 41 |
| 31.13 | 43 |
| 44.49 | 31 |
| 54.22 | 36 |

Cell lengths 9.4754, 9.4754, 3.7568 Å; angles 90.00, 90.00, 144.70 degrees
Fractional positions:
1 Ac 0.1053 0.8947 0.0000
2 Ac 0.8947 0.1053 0.0000
3 La 0.3020 0.6980 0.5000
4 La 0.6980 0.3020 0.5000
5 Y 0.5000 0.5000 0.5000

# 3
For Ac3La2Y5, a structure optimized by DFT (GGA-PBE) gives the simulated XRD peak list in this record (Cu Kα).
Neutral-atom scattering factors, no anomalous dispersion.

Main lines, low angle first (2θ = 15–90°):
| two_theta | Rel. int. |
| --- | --- |
| 29.28 | 100 |
| 29.41 | 34 |
| 33.84 | 22 |
| 33.97 | 23 |
| 34.12 | 22 |
| 48.87 | 24 |

Cell lengths 9.8538, 9.8538, 9.8710 Å; angles 106.84, 115.02, 106.43 degrees
Fractional positions:
1 Ac 0.1213 0.2486 0.3704
2 Ac 0.2679 0.3469 0.8232
3 Ac 0.3730 0.7570 0.1274
4 Ac 0.6270 0.2430 0.8726
5 Ac 0.7321 0.6531 0.1768
6 Ac 0.8787 0.7514 0.6296
7 La 0.1804 0.9456 0.5247
8 La 0.4253 0.4508 0.2767
9 La 0.5747 0.5492 0.7233
10 La 0.8196 0.0544 0.4753
11 Y 0.0259 0.8509 0.0736
12 Y 0.0762 0.5485 0.2244
13 Y 0.2259 0.6530 0.6725
14 Y 0.3272 0.0512 0.9809
15 Y 0.4768 0.1544 0.4241
16 Y 0.5232 0.8456 0.5759
17 Y 0.6728 0.9488 0.0191
18 Y 0.7741 0.3470 0.3275
19 Y 0.9238 0.4515 0.7756
20 Y 0.9741 0.1491 0.9264

# 4
For Ac8LaY5, a structure optimized by DFT (GGA-PBE) gives the simulated XRD peak list in this record (Cu Kα).
Neutral-atom scattering factors, no anomalous dispersion.

Main lines, low angle first (2θ = 15–90°):
| two_theta | Rel. int. |
| --- | --- |
| 25.83 | 76 |
| 27.42 | 65 |
| 27.62 | 79 |
| 31.29 | 100 |
| 32.14 | 68 |
| 32.64 | 61 |

Cell lengths 9.0766, 9.0766, 9.0766 Å; angles 111.52, 111.52, 105.45 degrees
Fractional positions:
1 Ac 0.0906 0.6808 0.7729
2 Ac 0.1731 0.2770 0.7585
3 Ac 0.3192 0.0921 0.4098
4 Ac 0.5185 0.4145 0.2415
5 Ac 0.5855 0.8269 0.1039
6 Ac 0.6823 0.9094 0.5902
7 Ac 0.7230 0.4815 0.8961
8 Ac 0.9079 0.3177 0.2271
9 La 0.0000 0.0000 0.0000
10 Y 0.2170 0.6261 0.1979
11 Y 0.3739 0.5718 0.5909
12 Y 0.4282 0.0191 0.8021
13 Y 0.7500 0.2500 0.5000
14 Y 0.9809 0.7830 0.4091